Diffraction record for SmNpBr6. The powder X-ray diffraction pattern is simulated, not measured: it uses DFT lattice parameters and positions (PBE) and Cu Kα, 1.54184 Å.
No peak broadening, texture or thermal motion is included.

Largest 10 diffraction maxima, sorted by position, 2θ from 10° to 80°:
| Position (°2θ) | d/Å | I/Imax | index |
| --- | --- | --- | --- |
| 13.5 | 6.567 | 74.9 | 0 2 0 |
| 16.8 | 5.271 | 76.5 | 1 1 -1 |
| 21.9 | 4.066 | 29.6 | 1 1 1 |
| 29.2 | 3.059 | 100.0 | 1 3 1 |
| 31.1 | 2.877 | 39.3 | 2 0 -2 |
| 34.0 | 2.635 | 16.4 | 2 2 -2 |
| 38.1 | 2.365 | 21.7 | 0 4 2 |
| 42.3 | 2.138 | 16.8 | 2 0 2 |
| 43.0 | 2.106 | 30.7 | 3 3 -1 |
| 43.4 | 2.086 | 30.1 | 1 3 -3 |

Cell and atoms:
Cell: 7.215 13.134 7.125 Å, 90.00 106.77 90.00°
Sites, in units of the cell vectors:
Sm: 0.000 0.000 0.000
Sm: 0.500 0.500 0.000
Np: 0.000 0.500 0.500
Np: 0.500 0.000 0.500
Br: 0.246 0.148 0.250
Br: 0.246 0.852 0.250
Br: 0.250 0.000 0.751
Br: 0.250 0.500 0.249
Br: 0.254 0.352 0.750
Br: 0.254 0.648 0.750
Br: 0.746 0.352 0.250
Br: 0.746 0.648 0.250
Br: 0.750 0.000 0.249
Br: 0.750 0.500 0.751
Br: 0.754 0.148 0.750
Br: 0.754 0.852 0.750